The following is a theoretical powder XRD pattern of FeNi2OsO6. It was derived from a structure optimized by DFT (GGA+U), using Cu Ka.
Intensities are scaled so that the largest is 1000.

Atomic structure:
```
data_FeNi2OsO6
_space_group_name_H-M_alt 'P 4 m m'
_space_group_IT_number 99
_cell_length_a 5.4128
_cell_length_b 5.4128
_cell_length_c 4.5504
_cell_angle_alpha 90.00
_cell_angle_beta 90.00
_cell_angle_gamma 90.00
loop_
_space_group_symop_operation_xyz
'x,y,z'
'-y,x,z'
'-x,-y,z'
'y,-x,z'
'-x,y,z'
'y,x,z'
'x,-y,z'
'-y,-x,z'
loop_
_atom_site_label
_atom_site_fract_x
_atom_site_fract_y
_atom_site_fract_z
Fe1 0.0000 0.0000 0.0000
Ni1 0.0000 0.5000 0.3055
Os1 0.5000 0.5000 0.0031
O1 0.0000 0.0000 0.6087
O2 0.2579 0.2579 0.1461
O3 0.5000 0.5000 0.6208
```

The 6 most intense peaks (5° ≤ 2θ ≤ 70°), sorted by position:
hkl 1 0 0, 16.38 deg, 5.413 Å, intensity 401
hkl 0 0 1, 19.51 deg, 4.550 Å, intensity 616
hkl 1 1 1, 30.52 deg, 2.929 Å, intensity 1000
hkl 2 0 0, 33.10 deg, 2.706 Å, intensity 526
hkl 1 1 2, 46.43 deg, 1.956 Å, intensity 469
hkl 2 2 0, 47.51 deg, 1.914 Å, intensity 347